Computed powder diffractogram
Compound: Tl2CClO2
Radiation: a wavelength of 1.5418 Å
Structure: the GGA-PBE geometry in Alexandria
Kinematic intensities with the Lorentz-polarization factor, no thermal factor.

```
data_Tl2CClO2
_chemical_formula_sum 'Tl4 C2 Cl2 O4'
_cell_length_a 7.9247
_cell_length_b 7.9247
_cell_length_c 6.0028
_cell_angle_alpha 90.00
_cell_angle_beta 90.00
_cell_angle_gamma 53.11
_symmetry_space_group_name_H-M 'P 1'
_symmetry_Int_Tables_number 1
loop_
_symmetry_equiv_pos_as_xyz
'x,y,z'
loop_
_atom_site_label
_atom_site_fract_x
_atom_site_fract_y
_atom_site_fract_z
Tl1 0.0910 0.3069 0.0000
Tl2 0.3069 0.0910 0.5000
Tl3 0.6931 0.9090 0.0000
Tl4 0.9090 0.6931 0.5000
C1 0.3533 0.6467 0.0209
C2 0.6467 0.3533 0.5209
Cl1 0.1780 0.8220 0.5201
Cl2 0.8220 0.1780 0.0201
O1 0.2709 0.5633 0.0210
O2 0.4367 0.7291 0.0210
O3 0.5633 0.2709 0.5210
O4 0.7291 0.4367 0.5210
```

Principal peaks in the range 10 to 90 degrees two-theta, in order of rising 2θ:
2θ 12.49, I = 100; 2θ 22.62, I = 53; 2θ 27.11, I = 37; 2θ 29.27, I = 99; 2θ 29.77, I = 51; 2θ 31.93, I = 49; 2θ 34.06, I = 36; 2θ 37.30, I = 43; 2θ 37.71, I = 29; 2θ 45.85, I = 31